[1]
# Pm7Y2Er2
Simulated PXRD pattern, a wavelength of 1.5418 Å. Input: a crystal structure in Alexandria, relaxed with GGA-PBE.

Atomic structure:
```
data_Pm7Y2Er2
_chemical_formula_sum 'Pm14 Y4 Er4'
_cell_length_a 5.656
_cell_length_b 16.118
_cell_length_c 8.167
_cell_angle_alpha 90.00
_cell_angle_beta 90.00
_cell_angle_gamma 90.00
_symmetry_space_group_name_H-M 'I m m 2'
_symmetry_Int_Tables_number 44
loop_
_symmetry_equiv_pos_as_xyz
'x,y,z'
'-x,-y,z'
'-x,y,z'
'x,-y,z'
'x+1/2,y+1/2,z+1/2'
'-x+1/2,-y+1/2,z+1/2'
'-x+1/2,y+1/2,z+1/2'
'x+1/2,-y+1/2,z+1/2'
loop_
_atom_site_label
_atom_site_type_symbol
_atom_site_fract_x
_atom_site_fract_y
_atom_site_fract_z
Pm1 Pm 0.000 0.000 0.000
Pm2 Pm 0.000 0.164 0.296
Pm3 Pm 0.000 0.366 0.501
Pm4 Pm 0.000 0.368 0.093
Y1 Y 0.000 0.201 0.797
Er1 Er 0.000 0.000 0.582
Er2 Er 0.000 0.500 0.797
```

Main lines, sorted by position (10 to 90 degrees two-theta):
two_theta, I_rel
22.07, 11
29.33, 31
31.64, 37
31.75, 100
31.96, 17
33.37, 30
46.64, 24
56.42, 20
62.17, 11
63.63, 13

=====

[2]
# Pm8YEr3
Simulated PXRD pattern, a wavelength of 1.5418 Å. Input: a crystal structure in Alexandria, relaxed with GGA-PBE.

Atomic structure:
```
data_Pm8YEr3
_chemical_formula_sum 'Pm8 Y1 Er3'
_cell_length_a 6.246
_cell_length_b 7.239
_cell_length_c 9.528
_cell_angle_alpha 79.01
_cell_angle_beta 77.32
_cell_angle_gamma 73.10
_symmetry_space_group_name_H-M 'P -1'
_symmetry_Int_Tables_number 2
loop_
_symmetry_equiv_pos_as_xyz
'x,y,z'
'-x,-y,-z'
loop_
_atom_site_label
_atom_site_type_symbol
_atom_site_fract_x
_atom_site_fract_y
_atom_site_fract_z
Pm1 Pm 0.001 0.166 0.333
Pm2 Pm 0.001 0.332 0.668
Pm3 Pm 0.498 0.166 0.834
Pm4 Pm 0.498 0.667 0.834
Y1 Y 0.500 0.500 0.500
Er1 Er 0.000 0.000 0.000
Er2 Er 0.000 0.500 0.000
Er3 Er 0.500 0.000 0.500
```

Main lines, sorted by position (10 to 90 degrees two-theta):
two_theta, I_rel
30.30, 100
30.39, 99
35.14, 67
35.26, 33
50.64, 60
60.02, 29
60.15, 14
60.23, 35
82.50, 17
85.17, 14

=====

[3]
# Pm2Y4Er5
Simulated PXRD pattern, a wavelength of 1.5418 Å. Input: a crystal structure in Alexandria, relaxed with GGA-PBE.

Atomic structure:
```
data_Pm2Y4Er5
_chemical_formula_sum 'Pm2 Y4 Er5'
_cell_length_a 3.670
_cell_length_b 9.201
_cell_length_c 10.895
_cell_angle_alpha 102.57
_cell_angle_beta 99.67
_cell_angle_gamma 90.00
_symmetry_space_group_name_H-M 'P -1'
_symmetry_Int_Tables_number 2
loop_
_symmetry_equiv_pos_as_xyz
'x,y,z'
'-x,-y,-z'
loop_
_atom_site_label
_atom_site_type_symbol
_atom_site_fract_x
_atom_site_fract_y
_atom_site_fract_z
Pm1 Pm 0.116 0.005 0.231
Y1 Y 0.172 0.419 0.343
Y2 Y 0.472 0.795 0.943
Er1 Er 0.000 0.500 0.000
Er2 Er 0.250 0.828 0.501
Er3 Er 0.382 0.306 0.763
```

Main lines, sorted by position (10 to 90 degrees two-theta):
two_theta, I_rel
11.48, 32
29.43, 36
30.21, 36
30.98, 60
32.39, 100
32.52, 100
34.24, 23
37.78, 17
49.69, 19
59.72, 18

=====

[4]
# PmY5Er4
Simulated PXRD pattern, a wavelength of 1.5418 Å. Input: a crystal structure in Alexandria, relaxed with GGA-PBE.

Atomic structure:
```
data_PmY5Er4
_chemical_formula_sum 'Pm2 Y10 Er8'
_cell_length_a 10.190
_cell_length_b 10.190
_cell_length_c 6.316
_cell_angle_alpha 90.00
_cell_angle_beta 90.00
_cell_angle_gamma 90.00
_symmetry_space_group_name_H-M 'I 4'
_symmetry_Int_Tables_number 79
loop_
_symmetry_equiv_pos_as_xyz
'x,y,z'
'-y,x,z'
'-x,-y,z'
'y,-x,z'
'x+1/2,y+1/2,z+1/2'
'-y+1/2,x+1/2,z+1/2'
'-x+1/2,-y+1/2,z+1/2'
'y+1/2,-x+1/2,z+1/2'
loop_
_atom_site_label
_atom_site_type_symbol
_atom_site_fract_x
_atom_site_fract_y
_atom_site_fract_z
Pm1 Pm 0.000 0.000 0.000
Y1 Y 0.000 0.000 0.547
Y2 Y 0.145 0.235 0.271
Er1 Er 0.051 0.351 0.770
```

Main lines, sorted by position (10 to 90 degrees two-theta):
two_theta, I_rel
27.68, 64
28.26, 32
29.87, 100
30.91, 54
34.78, 61
37.45, 23
39.14, 32
39.97, 26
49.32, 23
56.86, 20

=====

[5]
# Pm12Y5Er2
Simulated PXRD pattern, a wavelength of 1.5418 Å. Input: a crystal structure in Alexandria, relaxed with GGA-PBE.

Atomic structure:
```
data_Pm12Y5Er2
_chemical_formula_sum 'Pm24 Y10 Er4'
_cell_length_a 22.331
_cell_length_b 7.112
_cell_length_c 8.751
_cell_angle_alpha 90.00
_cell_angle_beta 110.25
_cell_angle_gamma 90.00
_symmetry_space_group_name_H-M 'C 1 2/m 1'
_symmetry_Int_Tables_number 12
loop_
_symmetry_equiv_pos_as_xyz
'x,y,z'
'-x,-y,-z'
'-x,y,-z'
'x,-y,z'
'x+1/2,y+1/2,z'
'-x+1/2,-y+1/2,-z'
'-x+1/2,y+1/2,-z'
'x+1/2,-y+1/2,z'
loop_
_atom_site_label
_atom_site_type_symbol
_atom_site_fract_x
_atom_site_fract_y
_atom_site_fract_z
Pm1 Pm 0.048 0.000 0.194
Pm2 Pm 0.106 0.243 0.885
Pm3 Pm 0.143 0.500 0.563
Pm4 Pm 0.200 0.247 0.294
Y1 Y 0.000 0.500 0.000
Y2 Y 0.150 0.000 0.597
Y3 Y 0.249 0.500 0.991
Er1 Er 0.000 0.243 0.500
```

Main lines, sorted by position (10 to 90 degrees two-theta):
two_theta, I_rel
30.21, 100
30.78, 39
31.12, 42
33.62, 36
36.34, 51
50.12, 18
50.57, 20
58.03, 14
61.31, 12
62.83, 12

=====

[6]
# PmY5Er5
Simulated PXRD pattern, a wavelength of 1.5418 Å. Input: a crystal structure in Alexandria, relaxed with GGA-PBE.

Atomic structure:
```
data_PmY5Er5
_chemical_formula_sum 'Pm1 Y5 Er5'
_cell_length_a 6.825
_cell_length_b 6.950
_cell_length_c 8.302
_cell_angle_alpha 76.04
_cell_angle_beta 77.50
_cell_angle_gamma 72.82
_symmetry_space_group_name_H-M 'P -1'
_symmetry_Int_Tables_number 2
loop_
_symmetry_equiv_pos_as_xyz
'x,y,z'
'-x,-y,-z'
loop_
_atom_site_label
_atom_site_type_symbol
_atom_site_fract_x
_atom_site_fract_y
_atom_site_fract_z
Pm1 Pm 0.000 0.000 0.000
Y1 Y 0.000 0.500 0.000
Y2 Y 0.331 0.263 0.653
Y3 Y 0.357 0.742 0.723
Er1 Er 0.157 0.129 0.357
Er2 Er 0.199 0.638 0.322
Er3 Er 0.500 0.000 0.000
```

Main lines, sorted by position (10 to 90 degrees two-theta):
two_theta, I_rel
31.57, 100
32.02, 49
32.34, 71
32.93, 49
33.79, 44
33.86, 18
44.33, 15
46.17, 16
48.77, 16
56.51, 13

=====

[7]
# Pm4Y3Er
Simulated PXRD pattern, a wavelength of 1.5418 Å. Input: a crystal structure in Alexandria, relaxed with GGA-PBE.

Atomic structure:
```
data_Pm4Y3Er
_chemical_formula_sum 'Pm8 Y6 Er2'
_cell_length_a 11.533
_cell_length_b 7.338
_cell_length_c 6.335
_cell_angle_alpha 90.00
_cell_angle_beta 90.00
_cell_angle_gamma 90.00
_symmetry_space_group_name_H-M 'P m n 21'
_symmetry_Int_Tables_number 31
loop_
_symmetry_equiv_pos_as_xyz
'x,y,z'
'-x+1/2,-y,z+1/2'
'-x,y,z'
'x+1/2,-y,z+1/2'
loop_
_atom_site_label
_atom_site_type_symbol
_atom_site_fract_x
_atom_site_fract_y
_atom_site_fract_z
Pm1 Pm 0.000 0.126 0.000
Pm2 Pm 0.000 0.874 0.496
Pm3 Pm 0.248 0.873 0.829
Y1 Y 0.000 0.377 0.496
Y2 Y 0.250 0.377 0.830
Er1 Er 0.000 0.622 0.995
```

Main lines, sorted by position (10 to 90 degrees two-theta):
two_theta, I_rel
28.13, 24
31.02, 25
32.21, 100
42.36, 16
49.83, 13
55.93, 21
59.86, 15
60.49, 11
82.17, 9
85.77, 8

=====

[8]
# Pm8YEr5
Simulated PXRD pattern, a wavelength of 1.5418 Å. Input: a crystal structure in Alexandria, relaxed with GGA-PBE.

Atomic structure:
```
data_Pm8YEr5
_chemical_formula_sum 'Pm16 Y2 Er10'
_cell_length_a 9.643
_cell_length_b 9.643
_cell_length_c 10.266
_cell_angle_alpha 90.00
_cell_angle_beta 90.00
_cell_angle_gamma 90.00
_symmetry_space_group_name_H-M 'I -4'
_symmetry_Int_Tables_number 82
loop_
_symmetry_equiv_pos_as_xyz
'x,y,z'
'y,-x,-z'
'-x,-y,z'
'-y,x,-z'
'x+1/2,y+1/2,z+1/2'
'y+1/2,-x+1/2,-z+1/2'
'-x+1/2,-y+1/2,z+1/2'
'-y+1/2,x+1/2,-z+1/2'
loop_
_atom_site_label
_atom_site_type_symbol
_atom_site_fract_x
_atom_site_fract_y
_atom_site_fract_z
Pm1 Pm 0.069 0.174 0.153
Pm2 Pm 0.089 0.324 0.497
Y1 Y 0.000 0.000 0.500
Er1 Er 0.000 0.500 0.250
Er2 Er 0.109 0.295 0.823
```

Main lines, sorted by position (10 to 90 degrees two-theta):
two_theta, I_rel
27.66, 47
29.11, 61
29.29, 69
31.50, 24
33.43, 100
34.20, 36
34.66, 45
54.62, 21
60.77, 18
62.25, 29

=====

Question: Which formula does entry 4 have?
Answer: PmY5Er4